# 1
The following is a simulated powder X-ray diffraction pattern of KCaGe. It was derived from a crystal structure in Alexandria, relaxed with PBE, using Cu Kα (weighted mean of Kα1 and Kα2).
Neutral-atom scattering factors, no anomalous dispersion.

Principal peaks in the range 2θ from 5° to 70°, sorted by position:
8.215 Å, 2θ 10.8, I = 44; 4.388 Å, 2θ 20.2, I = 50; 3.670 Å, 2θ 24.3, I = 51; 3.351 Å, 2θ 26.6, I = 36; 3.221 Å, 2θ 27.7, I = 100; 2.737 Å, 2θ 32.7, I = 90; 2.595 Å, 2θ 34.6, I = 93; 2.021 Å, 2θ 44.9, I = 50

Structure:
a b c (Å): 5.1902 5.1902 8.2148
angles (deg): 90.00 90.00 90.00
Element x y z (fractional)
K (0.2500, 0.2500, 0.1243)
K (0.7500, 0.7500, 0.8757)
Ca (0.2500, 0.7500, 0.5000)
Ca (0.7500, 0.2500, 0.5000)
Ge (0.2500, 0.2500, 0.6990)
Ge (0.7500, 0.7500, 0.3010)

***

# 2
The following is a simulated powder X-ray diffraction pattern of MgGa4Cu. It was derived from a crystal structure in Alexandria, relaxed with PBE, using Cu Kα (weighted mean of Kα1 and Kα2).
Neutral-atom scattering factors, no anomalous dispersion.

Principal peaks in the range 2θ from 5° to 70°, sorted by position:
6.167 Å, 2θ 14.4, I = 45; 2.617 Å, 2θ 34.3, I = 30; 2.448 Å, 2θ 36.7, I = 49; 2.362 Å, 2θ 38.1, I = 93; 2.345 Å, 2θ 38.4, I = 57; 2.235 Å, 2θ 40.3, I = 100; 2.169 Å, 2θ 41.6, I = 60; 2.013 Å, 2θ 45.0, I = 73

Structure:
a b c (Å): 7.2195 7.2195 5.2842
angles (deg): 104.25 104.25 54.50
Element x y z (fractional)
Mg (0.2172, 0.2172, 0.1570)
Mg (0.7828, 0.7828, 0.8430)
Ga (0.0858, 0.6797, 0.4434)
Ga (0.1949, 0.8051, 0.0000)
Ga (0.3203, 0.9142, 0.5566)
Ga (0.3273, 0.3273, 0.7607)
Ga (0.6727, 0.6727, 0.2393)
Ga (0.6797, 0.0858, 0.4434)
Ga (0.8051, 0.1949, 0.0000)
Ga (0.9142, 0.3203, 0.5566)
Cu (0.4527, 0.4527, 0.2373)
Cu (0.5473, 0.5473, 0.7627)

***

# 3
The following is a simulated powder X-ray diffraction pattern of PuMgGaPd. It was derived from a crystal structure in Alexandria, relaxed with PBE, using Cu Kα (weighted mean of Kα1 and Kα2).
Neutral-atom scattering factors, no anomalous dispersion.

Principal peaks in the range 2θ from 5° to 70°, sorted by position:
3.962 Å, 2θ 22.4, I = 53; 3.431 Å, 2θ 26.0, I = 4; 2.426 Å, 2θ 37.1, I = 100; 2.069 Å, 2θ 43.8, I = 29; 1.716 Å, 2θ 53.4, I = 18; 1.574 Å, 2θ 58.6, I = 13; 1.534 Å, 2θ 60.3, I = 2; 1.401 Å, 2θ 66.8, I = 36

Structure:
a b c (Å): 6.8625 6.8625 6.8625
angles (deg): 90.00 90.00 90.00
Element x y z (fractional)
Pu (0.0000, 0.0000, 0.0000)
Pu (0.0000, 0.5000, 0.5000)
Pu (0.5000, 0.0000, 0.5000)
Pu (0.5000, 0.5000, 0.0000)
Mg (0.0000, 0.0000, 0.5000)
Mg (0.0000, 0.5000, 0.0000)
Mg (0.5000, 0.0000, 0.0000)
Mg (0.5000, 0.5000, 0.5000)
Ga (0.2500, 0.2500, 0.7500)
Ga (0.2500, 0.7500, 0.2500)
Ga (0.7500, 0.2500, 0.2500)
Ga (0.7500, 0.7500, 0.7500)
Pd (0.2500, 0.2500, 0.2500)
Pd (0.2500, 0.7500, 0.7500)
Pd (0.7500, 0.2500, 0.7500)
Pd (0.7500, 0.7500, 0.2500)

***

# 4
The following is a simulated powder X-ray diffraction pattern of Pm5NdGe2. It was derived from a crystal structure in Alexandria, relaxed with PBE, using Cu Kα (weighted mean of Kα1 and Kα2).
Neutral-atom scattering factors, no anomalous dispersion.

Principal peaks in the range 2θ from 5° to 70°, sorted by position:
3.611 Å, 2θ 24.7, I = 22; 3.157 Å, 2θ 28.3, I = 64; 2.846 Å, 2θ 31.4, I = 100; 2.615 Å, 2θ 34.3, I = 39; 2.407 Å, 2θ 37.4, I = 27; 2.380 Å, 2θ 37.8, I = 26; 2.269 Å, 2θ 39.7, I = 29; 1.650 Å, 2θ 55.7, I = 21

Structure:
a b c (Å): 4.5374 9.5989 10.9603
angles (deg): 90.00 90.00 90.00
Element x y z (fractional)
Pm (0.0000, 0.0000, 0.0000)
Pm (0.0000, 0.3106, 0.3403)
Pm (0.0000, 0.3106, 0.6597)
Pm (0.0000, 0.6894, 0.3403)
Pm (0.0000, 0.6894, 0.6597)
Pm (0.5000, 0.1894, 0.1597)
Pm (0.5000, 0.1894, 0.8403)
Pm (0.5000, 0.5000, 0.5000)
Pm (0.5000, 0.8106, 0.1597)
Pm (0.5000, 0.8106, 0.8403)
Nd (0.0000, 0.5000, 0.0000)
Nd (0.5000, 0.0000, 0.5000)
Ge (0.0000, 0.0000, 0.2901)
Ge (0.0000, 0.0000, 0.7099)
Ge (0.5000, 0.5000, 0.2099)
Ge (0.5000, 0.5000, 0.7901)